1.
This entry pairs a crystal structure of Li2Zn4F9 with its theoretical XRD peak list. Radiation: Cu Kα (weighted mean of Kα1 and Kα2). Structure: the GGA-PBE geometry in Alexandria.
Kinematic intensities with the Lorentz-polarization factor, no thermal factor.

```
data_Li2Zn4F9
_cell_length_a 5.3088
_cell_length_b 5.3088
_cell_length_c 14.3904
_cell_angle_alpha 90.00
_cell_angle_beta 90.00
_cell_angle_gamma 120.00
_symmetry_space_group_name_H-M 'P -3 c 1'
_symmetry_Int_Tables_number 165
_symmetry_space_group_name_Hall '-P 3 2"c'
loop_
_atom_site_label
_atom_site_type_symbol
_atom_site_fract_x
_atom_site_fract_y
_atom_site_fract_z
Li1 Li 0.0000 0.0000 0.1506
Zn1 Zn 0.3333 0.6667 0.0260
Zn2 Zn 0.3333 0.6667 0.3131
F1 F 0.0000 0.3071 0.2500
F2 F 0.0316 0.3570 0.9136
```

Top 10 peaks for 15° ≤ 2θ ≤ 90°, most intense first:
| 2theta | I_rel | (hkl) |
| --- | --- | --- |
| 31.58 | 100 | 1 0 4 |
| 19.31 | 74 | 1 0 0 |
| 33.77 | 47 | 1 1 0 |
| 51.34 | 46 | 1 1 6 |
| 46.90 | 44 | 0 2 4 |
| 59.03 | 38 | 2 1 4 |
| 60.40 | 35 | 3 0 0 |
| 38.77 | 31 | 1 1 3 |
| 22.96 | 26 | 0 1 2 |
| 39.19 | 14 | 2 0 0 |

***

2.
This entry pairs a crystal structure of LiZnF4 with its theoretical XRD peak list. Radiation: Cu Kα (weighted mean of Kα1 and Kα2). Structure: the GGA-PBE geometry in Alexandria.
Kinematic intensities with the Lorentz-polarization factor, no thermal factor.

```
data_LiZnF4
_cell_length_a 6.790
_cell_length_b 6.790
_cell_length_c 5.989
_cell_angle_alpha 90.00
_cell_angle_beta 90.00
_cell_angle_gamma 90.00
_symmetry_space_group_name_H-M 'I 41 m d'
_symmetry_Int_Tables_number 109
_symmetry_space_group_name_Hall 'I 4bw -2'
loop_
_atom_site_label
_atom_site_type_symbol
_atom_site_fract_x
_atom_site_fract_y
_atom_site_fract_z
Li1 Li 0.000 0.000 0.000
Zn1 Zn 0.000 0.000 0.487
F1 F 0.000 0.187 0.730
F2 F 0.000 0.192 0.254
```

Top 10 peaks for 15° ≤ 2θ ≤ 90°, most intense first:
| 2theta | I_rel | (hkl) |
| --- | --- | --- |
| 19.77 | 100 | 1 0 1 |
| 26.25 | 80 | 2 0 0 |
| 52.44 | 53 | 3 1 2 |
| 33.08 | 49 | 2 1 1 |
| 40.15 | 28 | 2 0 2 |
| 66.21 | 25 | 3 3 2 |
| 35.33 | 21 | 1 1 2 |
| 54.02 | 17 | 4 0 0 |
| 68.49 | 17 | 2 0 4 |
| 42.08 | 14 | 3 1 0 |

***

3.
This entry pairs a crystal structure of LiZn3F6 with its theoretical XRD peak list. Radiation: Cu Kα (weighted mean of Kα1 and Kα2). Structure: the GGA-PBE geometry in Alexandria.
Kinematic intensities with the Lorentz-polarization factor, no thermal factor.

```
data_LiZn3F6
_cell_length_a 5.3882
_cell_length_b 5.3882
_cell_length_c 14.4696
_cell_angle_alpha 90.00
_cell_angle_beta 90.00
_cell_angle_gamma 120.00
_symmetry_space_group_name_H-M 'R 3'
_symmetry_Int_Tables_number 146
_symmetry_space_group_name_Hall 'R 3'
loop_
_atom_site_label
_atom_site_type_symbol
_atom_site_fract_x
_atom_site_fract_y
_atom_site_fract_z
Li1 Li 0.0000 0.0000 0.0000
Zn1 Zn 0.0000 0.0000 0.2909
Zn2 Zn 0.0000 0.0000 0.5004
Zn3 Zn 0.0000 0.0000 0.7867
F1 F 0.0039 0.6996 0.8935
F2 F 0.0282 0.3567 0.0589
```

Top 10 peaks for 15° ≤ 2θ ≤ 90°, most intense first:
| 2theta | I_rel | (hkl) |
| --- | --- | --- |
| 31.29 | 100 | 1 0 4 |
| 33.26 | 66 | 1 1 0 |
| 50.81 | 61 | 2 -1 6 |
| 22.68 | 57 | 0 1 2 |
| 38.27 | 46 | 1 1 3 |
| 46.31 | 45 | 0 2 4 |
| 59.42 | 43 | 3 0 0 |
| 58.19 | 40 | 3 -1 4 |
| 19.99 | 39 | 1 0 1 |
| 67.83 | 19 | 1 0 10 |

***

4.
This entry pairs a crystal structure of Li3Zn2F7 with its theoretical XRD peak list. Radiation: Cu Kα (weighted mean of Kα1 and Kα2). Structure: the GGA-PBE geometry in Alexandria.
Kinematic intensities with the Lorentz-polarization factor, no thermal factor.

```
data_Li3Zn2F7
_cell_length_a 18.450
_cell_length_b 5.273
_cell_length_c 5.299
_cell_angle_alpha 90.00
_cell_angle_beta 90.00
_cell_angle_gamma 90.00
_symmetry_space_group_name_H-M 'C m c 21'
_symmetry_Int_Tables_number 36
loop_
_symmetry_equiv_pos_as_xyz
'x,y,z'
'-x,-y,z+1/2'
'-x,y,z'
'x,-y,z+1/2'
'x+1/2,y+1/2,z'
'-x+1/2,-y+1/2,z+1/2'
'-x+1/2,y+1/2,z'
'x+1/2,-y+1/2,z+1/2'
loop_
_atom_site_label
_atom_site_type_symbol
_atom_site_fract_x
_atom_site_fract_y
_atom_site_fract_z
Li1 Li 0.000 0.240 0.000
Li2 Li 0.204 0.284 0.928
Zn1 Zn 0.105 0.247 0.470
F1 F 0.000 0.115 0.376
F2 F 0.075 0.414 0.801
F3 F 0.137 0.087 0.141
F4 F 0.208 0.373 0.559
```

Top 10 peaks for 15° ≤ 2θ ≤ 90°, most intense first:
| 2theta | I_rel | (hkl) |
| --- | --- | --- |
| 24.30 | 100 | 1 1 1 |
| 19.24 | 61 | 4 0 0 |
| 34.14 | 44 | 5 1 1 |
| 38.15 | 27 | 7 1 0 |
| 50.80 | 26 | 9 1 1 |
| 60.95 | 26 | 5 3 1 |
| 60.73 | 20 | 5 1 3 |
| 48.73 | 20 | 0 2 2 |
| 39.38 | 18 | 4 2 0 |
| 33.83 | 18 | 0 0 2 |

***

5.
This entry pairs a crystal structure of LiZn2F6 with its theoretical XRD peak list. Radiation: Cu Kα (weighted mean of Kα1 and Kα2). Structure: the GGA-PBE geometry in Alexandria.
Kinematic intensities with the Lorentz-polarization factor, no thermal factor.

```
data_LiZn2F6
_cell_length_a 8.7075
_cell_length_b 8.7075
_cell_length_c 4.5706
_cell_angle_alpha 90.00
_cell_angle_beta 90.00
_cell_angle_gamma 120.00
_symmetry_space_group_name_H-M 'P 3 2 1'
_symmetry_Int_Tables_number 150
loop_
_symmetry_equiv_pos_as_xyz
'x,y,z'
'-y,x-y,z'
'-x+y,-x,z'
'y,x,-z'
'x-y,-y,-z'
'-x,-x+y,-z'
loop_
_atom_site_label
_atom_site_type_symbol
_atom_site_fract_x
_atom_site_fract_y
_atom_site_fract_z
Li1 Li 0.0000 0.0000 0.0000
Li2 Li 0.3333 0.6667 0.4902
Zn1 Zn 0.0000 0.3482 0.0000
Zn2 Zn 0.0000 0.6823 0.5000
F1 F 0.1058 0.5622 0.2534
F2 F 0.1071 0.2278 0.2323
F3 F 0.2173 0.4391 0.7287
```

Top 10 peaks for 15° ≤ 2θ ≤ 90°, most intense first:
| 2theta | I_rel | (hkl) |
| --- | --- | --- |
| 28.31 | 100 | 1 1 1 |
| 54.25 | 39 | 3 0 2 |
| 20.40 | 35 | 1 1 0 |
| 46.19 | 24 | 2 2 1 |
| 40.98 | 23 | 3 0 1 |
| 59.73 | 20 | 4 1 1 |
| 64.17 | 16 | 3 3 0 |
| 35.72 | 13 | 3 0 0 |
| 64.84 | 9 | 1 1 3 |
| 44.79 | 7 | 1 1 2 |

***

6.
This entry pairs a crystal structure of Li2ZrF8 with its theoretical XRD peak list. Radiation: Cu Kα (weighted mean of Kα1 and Kα2). Structure: the GGA-PBE geometry in Alexandria.
Kinematic intensities with the Lorentz-polarization factor, no thermal factor.

```
data_Li2ZrF8
_cell_length_a 5.292
_cell_length_b 5.292
_cell_length_c 10.513
_cell_angle_alpha 90.00
_cell_angle_beta 90.00
_cell_angle_gamma 90.00
_symmetry_space_group_name_H-M 'I 4 2 2'
_symmetry_Int_Tables_number 97
_symmetry_space_group_name_Hall 'I 4 2'
loop_
_atom_site_label
_atom_site_type_symbol
_atom_site_fract_x
_atom_site_fract_y
_atom_site_fract_z
Li1 Li 0.000 0.500 0.250
Zr1 Zr 0.000 0.000 0.000
F1 F 0.137 0.298 0.884
```

Top 10 peaks for 15° ≤ 2θ ≤ 90°, most intense first:
| 2theta | I_rel | (hkl) |
| --- | --- | --- |
| 18.77 | 100 | 1 0 1 |
| 46.29 | 27 | 2 1 3 |
| 29.30 | 25 | 1 1 2 |
| 16.87 | 24 | 0 0 2 |
| 39.01 | 21 | 2 1 1 |
| 48.84 | 17 | 2 0 4 |
| 30.60 | 13 | 1 0 3 |
| 42.01 | 11 | 1 1 4 |
| 57.83 | 11 | 3 1 2 |
| 58.74 | 11 | 2 1 5 |

***

7.
This entry pairs a crystal structure of Li4ZrF8 with its theoretical XRD peak list. Radiation: Cu Kα (weighted mean of Kα1 and Kα2). Structure: the GGA-PBE geometry in Alexandria.
Kinematic intensities with the Lorentz-polarization factor, no thermal factor.

```
data_Li4ZrF8
_cell_length_a 9.745
_cell_length_b 9.705
_cell_length_c 5.759
_cell_angle_alpha 90.00
_cell_angle_beta 90.00
_cell_angle_gamma 90.00
_symmetry_space_group_name_H-M 'P n m a'
_symmetry_Int_Tables_number 62
loop_
_symmetry_equiv_pos_as_xyz
'x,y,z'
'-x,-y,-z'
'-x+1/2,-y,z+1/2'
'x+1/2,y,-z+1/2'
'x+1/2,-y+1/2,-z+1/2'
'-x+1/2,y+1/2,z+1/2'
'-x,y+1/2,-z'
'x,-y+1/2,z'
loop_
_atom_site_label
_atom_site_type_symbol
_atom_site_fract_x
_atom_site_fract_y
_atom_site_fract_z
Li1 Li 0.104 0.080 0.129
Li2 Li 0.131 0.059 0.619
Zr1 Zr 0.135 0.750 0.368
F1 F 0.019 0.616 0.147
F2 F 0.022 0.622 0.601
F3 F 0.213 0.250 0.118
F4 F 0.214 0.250 0.618
F5 F 0.234 0.536 0.372
```

Top 10 peaks for 15° ≤ 2θ ≤ 90°, most intense first:
| 2theta | I_rel | (hkl) |
| --- | --- | --- |
| 17.91 | 100 | 0 1 1 |
| 43.02 | 79 | 3 1 2 |
| 20.40 | 54 | 2 1 0 |
| 20.11 | 51 | 1 1 1 |
| 23.92 | 32 | 2 0 1 |
| 18.28 | 31 | 0 2 0 |
| 46.09 | 28 | 3 2 2 |
| 41.58 | 25 | 2 4 0 |
| 30.28 | 24 | 2 2 1 |
| 49.46 | 18 | 4 3 1 |

***

8.
This entry pairs a crystal structure of Lu3O2F5 with its theoretical XRD peak list. Radiation: Cu Kα (weighted mean of Kα1 and Kα2). Structure: the GGA-PBE geometry in Alexandria.
Kinematic intensities with the Lorentz-polarization factor, no thermal factor.

```
data_Lu3O2F5
_cell_length_a 5.522
_cell_length_b 16.986
_cell_length_c 5.261
_cell_angle_alpha 90.00
_cell_angle_beta 90.00
_cell_angle_gamma 90.00
_symmetry_space_group_name_H-M 'P n m a'
_symmetry_Int_Tables_number 62
loop_
_symmetry_equiv_pos_as_xyz
'x,y,z'
'-x,-y,-z'
'-x+1/2,-y,z+1/2'
'x+1/2,y,-z+1/2'
'x+1/2,-y+1/2,-z+1/2'
'-x+1/2,y+1/2,z+1/2'
'-x,y+1/2,-z'
'x,-y+1/2,z'
loop_
_atom_site_label
_atom_site_type_symbol
_atom_site_fract_x
_atom_site_fract_y
_atom_site_fract_z
Lu1 Lu 0.170 0.097 0.040
Lu2 Lu 0.235 0.250 0.455
O1 O 0.041 0.669 0.704
F1 F 0.104 0.250 0.853
F2 F 0.122 0.515 0.788
F3 F 0.163 0.625 0.179
```

Top 10 peaks for 15° ≤ 2θ ≤ 90°, most intense first:
| 2theta | I_rel | (hkl) |
| --- | --- | --- |
| 28.24 | 100 | 1 3 1 |
| 31.59 | 25 | 0 6 0 |
| 47.16 | 14 | 0 6 2 |
| 54.24 | 13 | 1 9 1 |
| 34.09 | 12 | 0 0 2 |
| 23.35 | 11 | 1 0 1 |
| 32.43 | 11 | 2 0 0 |
| 43.67 | 11 | 1 4 2 |
| 57.49 | 10 | 1 3 3 |
| 45.91 | 9 | 2 6 0 |

***

9.
This entry pairs a crystal structure of RbLu3F10 with its theoretical XRD peak list. Radiation: Cu Kα (weighted mean of Kα1 and Kα2). Structure: the GGA-PBE geometry in Alexandria.
Kinematic intensities with the Lorentz-polarization factor, no thermal factor.

```
data_RbLu3F10
_cell_length_a 8.480
_cell_length_b 13.242
_cell_length_c 16.128
_cell_angle_alpha 90.00
_cell_angle_beta 90.00
_cell_angle_gamma 90.00
_symmetry_space_group_name_H-M 'C m c e'
_symmetry_Int_Tables_number 64
_symmetry_space_group_name_Hall '-C 2ac 2'
loop_
_atom_site_label
_atom_site_type_symbol
_atom_site_fract_x
_atom_site_fract_y
_atom_site_fract_z
Rb1 Rb 0.000 0.000 0.000
Rb2 Rb 0.000 0.000 0.500
Lu1 Lu 0.249 0.229 0.113
Lu2 Lu 0.250 0.001 0.250
F1 F 0.000 0.007 0.231
F2 F 0.000 0.207 0.106
F3 F 0.000 0.238 0.387
F4 F 0.214 0.130 0.672
F5 F 0.229 0.065 0.373
F6 F 0.248 0.159 0.512
F7 F 0.250 0.182 0.250
```

Top 10 peaks for 15° ≤ 2θ ≤ 90°, most intense first:
| 2theta | I_rel | (hkl) |
| --- | --- | --- |
| 25.87 | 100 | 0 2 4 |
| 20.95 | 66 | 2 0 0 |
| 27.32 | 44 | 2 2 2 |
| 26.93 | 39 | 0 4 0 |
| 50.56 | 33 | 4 2 4 |
| 33.52 | 28 | 2 2 4 |
| 46.93 | 24 | 0 6 4 |
| 42.65 | 24 | 4 0 0 |
| 17.33 | 22 | 0 2 2 |
| 48.63 | 19 | 2 4 6 |